# HoEr4Sc8
Simulated powder diffractogram, copper Kα. Input: DFT lattice parameters and positions (PBE).

Crystal structure
Cell lengths 7.3424, 7.3424, 7.3424 Å; angles 90.11, 90.11, 90.11 degrees
Element x y z (fractional)
Ho  0.0000  0.0000  0.0000
Er  0.0000  0.0000  0.5000
Er  0.0000  0.5000  0.0000
Er  0.5000  0.0000  0.0000
Er  0.5000  0.5000  0.5000
Sc  0.2586  0.7400  0.7400
Sc  0.2596  0.2596  0.2596
Sc  0.2600  0.2600  0.7414
Sc  0.2600  0.7414  0.2600
Sc  0.7400  0.2586  0.7400
Sc  0.7400  0.7400  0.2586
Sc  0.7404  0.7404  0.7404
Sc  0.7414  0.2600  0.2600

Top 10 peaks for 10° ≤ 2θ ≤ 80°, low angle first:
- d 5.192, rel. 11
- d 4.239, rel. 42
- d 3.671, rel. 19
- d 3.284, rel. 9
- d 2.596, rel. 100
- d 2.214, rel. 23
- d 1.836, rel. 17
- d 1.642, rel. 9
- d 1.500, rel. 26
- d 1.496, rel. 9